# 1
# Tm5Co4Si14
Theoretical PXRD pattern, CuKα. Input: a structure optimized by DFT (GGA-PBE).
Neutral-atom scattering factors, no anomalous dispersion.

The 6 most intense peaks (2θ from 10° to 90°), sorted by position:
d 4.058, 2θ 21.9, I 40; d 3.710, 2θ 24.0, I 37; d 3.483, 2θ 25.6, I 56; d 2.596, 2θ 34.5, I 46; d 2.398, 2θ 37.5, I 45; d 2.388, 2θ 37.7, I 100

Cell and atoms:
```
46
Lattice="12.321 0.000 0.000 0.000 7.790 0.000 -1.183 0.000 7.621" Properties=species:S:1:pos:R:3 pbc="T T T"
Tm 0.000 0.000 0.000
Tm -0.591 3.895 3.810
Tm 4.091 1.934 2.609
Tm 3.500 1.961 6.419
Tm 4.097 5.834 2.589
Tm 3.506 5.851 6.399
Tm 7.632 1.939 1.222
Tm 7.041 1.956 5.032
Tm 7.638 5.829 1.202
Tm 7.047 5.856 5.012
Co 11.576 0.984 4.781
Co 12.167 2.912 0.970
Co -1.029 4.879 6.651
Co -0.438 6.807 2.840
Co 3.008 7.789 0.465
Co 2.416 3.897 4.275
Co 8.131 0.002 7.156
Co 8.722 3.894 3.346
Si -0.389 1.295 2.546
Si -0.980 2.600 6.356
Si 1.286 0.042 5.857
Si 1.546 1.761 4.191
Si 2.138 2.134 0.381
Si 1.878 3.853 2.047
Si 2.152 5.654 0.295
Si 1.561 6.031 4.105
Si 1.233 3.939 6.239
Si 1.824 7.747 2.429
Si 4.702 0.001 4.656
Si 5.296 0.006 0.834
Si 4.704 3.890 4.645
Si 5.293 3.894 0.846
Si 6.437 7.789 2.965
Si 5.845 3.896 6.775
Si 6.434 3.901 2.976
Si 5.842 7.785 6.787
Si 9.314 0.044 5.192
Si 9.905 3.852 1.382
Si 9.577 1.759 3.516
Si 8.986 2.136 7.326
Si 9.260 3.937 5.574
Si 9.000 5.656 7.240
Si 9.592 6.029 3.430
Si 9.852 7.748 1.764
Si 12.118 5.190 1.265
Si 11.527 6.495 5.075
```



# 2
# BaSrSn2O6
Theoretical PXRD pattern, CuKα. Input: a structure optimized by DFT (GGA-PBE).
Neutral-atom scattering factors, no anomalous dispersion.

The 6 most intense peaks (2θ from 10° to 90°), sorted by position:
d 2.932, 2θ 30.5, I 100; d 2.073, 2θ 43.7, I 32; d 1.693, 2θ 54.2, I 41; d 1.466, 2θ 63.4, I 20; d 1.311, 2θ 72.0, I 18; d 1.108, 2θ 88.2, I 23

Cell and atoms:
```
10
Lattice="4.146 0.000 0.000 0.000 4.146 0.000 0.000 0.000 8.295" Properties=species:S:1:pos:R:3 pbc="T T T"
Ba 0.000 0.000 0.000
Sr 0.000 0.000 4.147
Sn 2.073 2.073 2.097
Sn 2.073 2.073 6.198
O 0.000 2.073 2.129
O 0.000 2.073 6.166
O 2.073 0.000 2.129
O 2.073 0.000 6.166
O 2.073 2.073 0.000
O 2.073 2.073 4.147
```



# 3
# TmIn5Co
Theoretical PXRD pattern, CuKα. Input: a structure optimized by DFT (GGA-PBE).
Neutral-atom scattering factors, no anomalous dispersion.

The 6 most intense peaks (2θ from 10° to 90°), sorted by position:
d 2.963, 2θ 30.2, I 50; d 2.503, 2θ 35.9, I 21; d 2.446, 2θ 36.7, I 100; d 2.280, 2θ 39.5, I 54; d 1.686, 2θ 54.4, I 25; d 1.346, 2θ 69.9, I 29

Cell and atoms:
```
7
Lattice="4.560 0.000 0.000 0.000 4.560 0.000 0.000 0.000 7.510" Properties=species:S:1:pos:R:3 pbc="T T T"
Tm 0.000 0.000 0.000
In 0.000 2.280 2.296
In 0.000 2.280 5.214
In 2.280 0.000 2.296
In 2.280 0.000 5.214
In 2.280 2.280 0.000
Co 0.000 0.000 3.755
```



# 4
# Ba2CuS2Br2
Theoretical PXRD pattern, CuKα. Input: a structure optimized by DFT (GGA-PBE).
Neutral-atom scattering factors, no anomalous dispersion.

The 6 most intense peaks (2θ from 10° to 90°), sorted by position:
d 3.319, 2θ 26.9, I 77; d 2.853, 2θ 31.4, I 100; d 2.669, 2θ 33.6, I 36; d 2.347, 2θ 38.3, I 51; d 1.813, 2θ 50.3, I 51; d 1.660, 2θ 55.4, I 17

Cell and atoms:
```
7
Lattice="-2.347 2.347 8.982 2.347 -2.347 8.982 2.347 2.347 -8.982" Properties=species:S:1:pos:R:3 pbc="T T T"
Ba 0.000 0.000 2.165
Ba 0.000 0.000 15.800
Cu 0.000 0.000 8.982
S 2.347 0.000 0.000
S 0.000 2.347 0.000
Br 0.000 0.000 5.693
Br 0.000 0.000 12.271
```



# 5
# Ca5Si2HO9F
Theoretical PXRD pattern, CuKα. Input: a structure optimized by DFT (GGA-PBE).
Neutral-atom scattering factors, no anomalous dispersion.

The 6 most intense peaks (2θ from 10° to 90°), sorted by position:
d 3.304, 2θ 27.0, I 42; d 3.120, 2θ 28.6, I 93; d 2.987, 2θ 29.9, I 38; d 2.949, 2θ 30.3, I 33; d 2.873, 2θ 31.1, I 100; d 2.113, 2θ 42.8, I 56

Cell and atoms:
```
36
Lattice="7.039 0.000 0.000 0.000 9.830 0.000 -2.664 0.000 7.017" Properties=species:S:1:pos:R:3 pbc="T T T"
Ca -0.197 0.000 2.779
Ca -1.545 2.294 6.649
Ca 0.327 3.503 3.446
Ca 0.668 7.053 4.556
Ca 2.054 5.729 0.994
Ca 2.322 0.814 6.022
Ca 3.707 2.138 2.461
Ca 4.049 8.418 3.571
Ca 5.921 7.209 0.368
Ca 4.572 4.915 4.238
Si -1.448 9.220 6.215
Si 1.006 3.883 6.407
Si 3.370 8.798 0.610
Si 5.824 4.305 0.802
H 0.820 2.633 5.461
H 3.556 7.548 1.556
O -1.322 1.874 4.275
O -0.984 8.835 4.679
O -0.043 7.458 2.351
O 1.822 7.907 0.143
O -0.091 4.823 5.452
O -0.160 0.356 6.955
O 2.716 3.470 0.696
O 1.877 5.381 3.204
O 1.893 9.055 3.208
O 2.483 4.140 3.809
O 2.498 0.466 3.813
O 1.659 8.385 6.321
O 4.535 5.271 0.062
O 4.466 9.738 1.565
O 2.553 2.992 6.873
O 4.419 2.543 4.666
O 5.359 3.920 2.338
O 5.697 6.789 2.742
F 0.551 1.890 1.827
F 3.824 6.805 5.190
```



# 6
# Rb2LiNbF6
Theoretical PXRD pattern, CuKα. Input: a structure optimized by DFT (GGA-PBE).
Neutral-atom scattering factors, no anomalous dispersion.

The 6 most intense peaks (2θ from 10° to 90°), sorted by position:
d 4.932, 2θ 18.0, I 36; d 3.020, 2θ 29.6, I 100; d 2.466, 2θ 36.4, I 25; d 2.136, 2θ 42.3, I 51; d 1.744, 2θ 52.5, I 40; d 1.510, 2θ 61.4, I 31

Cell and atoms:
```
10
Lattice="0.000 4.272 4.272 4.272 0.000 4.272 4.272 4.272 0.000" Properties=species:S:1:pos:R:3 pbc="T T T"
Rb 2.136 2.136 2.136
Rb 6.407 6.407 6.407
Li 0.000 0.000 0.000
Nb 4.272 4.272 4.272
F 4.272 4.272 2.151
F 4.272 2.151 4.272
F 6.392 4.272 4.272
F 2.151 4.272 4.272
F 4.272 6.392 4.272
F 4.272 4.272 6.392
```



# 7
# Sb5P6O24
Theoretical PXRD pattern, CuKα. Input: a structure optimized by DFT (GGA-PBE).
Neutral-atom scattering factors, no anomalous dispersion.

The 6 most intense peaks (2θ from 10° to 90°), sorted by position:
d 7.269, 2θ 12.2, I 96; d 4.960, 2θ 17.9, I 99; d 4.255, 2θ 20.9, I 79; d 4.147, 2θ 21.4, I 100; d 3.126, 2θ 28.6, I 85; d 2.681, 2θ 33.4, I 76

Cell and atoms:
```
35
Lattice="8.694 0.000 0.000 -3.143 8.224 0.000 -3.306 -3.704 7.450" Properties=species:S:1:pos:R:3 pbc="T T T"
Sb 0.000 0.000 0.000
Sb -1.205 4.400 0.232
Sb 0.523 -0.401 4.307
Sb 1.200 4.855 3.369
Sb 4.276 2.294 1.887
P -1.230 2.226 3.018
P -1.545 -0.768 6.939
P 2.770 -0.796 1.686
P 2.991 -1.961 5.842
P 2.799 2.128 4.982
P 4.351 5.749 2.315
O -3.632 6.264 3.611
O -2.064 -2.101 6.429
O -0.787 2.618 1.580
O -0.677 0.743 3.232
O -2.653 0.325 7.004
O -1.032 7.390 0.301
O -0.780 3.212 4.064
O 1.642 -0.388 2.678
O -0.469 -0.152 5.983
O 0.132 5.974 1.988
O 2.406 2.873 0.918
O 1.559 -1.889 5.197
O 3.949 0.184 1.853
O 1.594 1.145 5.004
O 3.232 -3.253 6.603
O 3.097 2.536 3.500
O 4.040 -1.818 4.674
O 2.836 5.814 2.599
O 3.060 -0.736 6.782
O 2.295 3.467 5.629
O 4.868 4.291 2.120
O 4.700 6.515 1.045
O 4.023 1.549 5.665
O 5.904 1.954 3.074
```



# 8
# Ba2CdHg
Theoretical PXRD pattern, CuKα. Input: a structure optimized by DFT (GGA-PBE).
Neutral-atom scattering factors, no anomalous dispersion.

The 6 most intense peaks (2θ from 10° to 90°), sorted by position:
d 3.006, 2θ 29.7, I 100; d 2.126, 2θ 42.5, I 19; d 1.736, 2θ 52.7, I 40; d 1.503, 2θ 61.7, I 12; d 1.344, 2θ 70.0, I 17; d 1.136, 2θ 85.5, I 21

Cell and atoms:
```
4
Lattice="0.000 4.251 4.251 4.251 0.000 4.251 4.251 4.251 0.000" Properties=species:S:1:pos:R:3 pbc="T T T"
Ba 2.126 2.126 2.126
Ba 6.377 6.377 6.377
Cd 0.000 0.000 0.000
Hg 4.251 4.251 4.251
```



# 9
# SiC
Theoretical PXRD pattern, CuKα. Input: a structure optimized by DFT (GGA-PBE).
Neutral-atom scattering factors, no anomalous dispersion.

The 5 most intense peaks (2θ from 10° to 90°), sorted by position:
d 2.338, 2θ 38.5, I 48; d 2.025, 2θ 44.8, I 100; d 1.432, 2θ 65.1, I 59; d 1.221, 2θ 78.3, I 23; d 1.169, 2θ 82.5, I 20

Cell and atoms:
```
2
Lattice="0.000 2.025 2.025 2.025 0.000 2.025 2.025 2.025 0.000" Properties=species:S:1:pos:R:3 pbc="T T T"
Si 0.000 0.000 0.000
C 2.025 2.025 2.025
```